Entry 1:
Ba2LiMn2P4O14: simulated X-ray powder pattern (a wavelength of 1.5418 Å), based on a DFT-relaxed cell (GGA+U, the Materials Project).

The 10 most intense peaks (2θ from 10° to 80°), in order of rising 2θ:
- 4.104 Å, intensity 58
- 3.876 Å, intensity 96
- 3.709 Å, intensity 64
- 3.551 Å, intensity 48
- 3.196 Å, intensity 81
- 3.132 Å, intensity 61
- 3.121 Å, intensity 100
- 3.099 Å, intensity 51
- 3.038 Å, intensity 86
- 2.769 Å, intensity 65

abc: 5.5446 7.6425 8.0022
angles: 104.18 91.98 91.12
Space group P1 (No. 1)
One atom of each set of equivalent atoms:
Ba: 0.0000 0.0000 0.0000 [1 per cell]
Ba: 0.4259 0.8755 0.5689 [1 per cell]
Li: 0.5440 0.3993 0.6907 [1 per cell]
Mn: 0.0155 0.5490 0.1761 [1 per cell]
Mn: 0.4128 0.3142 0.3728 [1 per cell]
P: 0.5059 0.3364 0.9921 [1 per cell]
P: 0.5204 0.7360 0.0604 [1 per cell]
P: 0.9246 0.1493 0.5098 [1 per cell]
P: 0.9484 0.5495 0.5865 [1 per cell]
O: 0.0379 0.6892 0.7458 [1 per cell]
O: 0.1074 0.1305 0.3670 [1 per cell]
O: 0.1147 0.5417 0.4321 [1 per cell]
O: 0.2791 0.3352 0.0997 [1 per cell]
O: 0.3065 0.7469 0.1791 [1 per cell]
O: 0.4921 0.2016 0.8183 [1 per cell]
O: 0.5053 0.8635 0.9411 [1 per cell]
O: 0.5058 0.5292 0.9333 [1 per cell]
O: 0.6610 0.1353 0.4376 [1 per cell]
O: 0.6788 0.5604 0.5332 [1 per cell]
O: 0.7399 0.3353 0.1004 [1 per cell]
O: 0.7680 0.7512 0.1568 [1 per cell]
O: 0.9552 0.3543 0.6393 [1 per cell]
O: 0.9658 0.0224 0.6279 [1 per cell]

Entry 2:
Ba2LiMn2P4O14: simulated X-ray powder pattern (a wavelength of 1.5418 Å), based on a DFT-relaxed cell (GGA+U, the Materials Project).

The 10 most intense peaks (2θ from 10° to 80°), in order of rising 2θ:
- 5.198 Å, intensity 29
- 3.722 Å, intensity 100
- 3.669 Å, intensity 28
- 3.433 Å, intensity 33
- 3.023 Å, intensity 67
- 2.893 Å, intensity 52
- 2.874 Å, intensity 73
- 2.787 Å, intensity 27
- 2.473 Å, intensity 22
- 2.255 Å, intensity 28

abc: 5.7747 7.5091 7.8746
angles: 80.03 73.83 89.24
Space group P1 (No. 1)
One atom of each set of equivalent atoms:
Ba: 0.0000 0.0000 0.0000 [1 per cell]
Ba: 0.3575 0.8579 0.4555 [1 per cell]
Li: 0.7619 0.5074 0.7128 [1 per cell]
Mn: 0.0580 0.5107 0.9359 [1 per cell]
Mn: 0.3190 0.3315 0.5431 [1 per cell]
P: 0.4777 0.3300 0.0933 [1 per cell]
P: 0.5224 0.7284 0.9679 [1 per cell]
P: 0.8370 0.1171 0.4958 [1 per cell]
P: 0.8800 0.5172 0.3714 [1 per cell]
O: 0.0186 0.1115 0.6090 [1 per cell]
O: 0.0607 0.5507 0.4760 [1 per cell]
O: 0.2810 0.2902 0.0068 [1 per cell]
O: 0.3348 0.7406 0.8592 [1 per cell]
O: 0.4364 0.2286 0.2852 [1 per cell]
O: 0.4534 0.5423 0.1169 [1 per cell]
O: 0.5011 0.8771 0.0810 [1 per cell]
O: 0.5724 0.1205 0.6051 [1 per cell]
O: 0.6226 0.5399 0.4927 [1 per cell]
O: 0.7338 0.3174 0.9670 [1 per cell]
O: 0.7800 0.7087 0.8483 [1 per cell]
O: 0.8841 0.9719 0.3763 [1 per cell]
O: 0.8987 0.3072 0.3493 [1 per cell]
O: 0.9337 0.6224 0.1806 [1 per cell]